The following is a simulated powder XRD pattern of AcLa7Dy12. It was derived from a structure optimized by DFT (PBE), using copper Kα.
No peak broadening, texture or thermal motion is included.

Main lines, by angle (2θ from 15° to 90°):
| d [Å] | I (rel.) |
| --- | --- |
| 5.716 | 18 |
| 4.042 | 15 |
| 3.300 | 81 |
| 2.858 | 100 |
| 2.021 | 74 |
| 1.723 | 38 |
| 1.650 | 26 |
| 1.311 | 15 |
| 1.278 | 33 |
| 1.167 | 25 |

Atomic structure:
Lattice parameters (Å, degrees): 11.4318 11.4318 11.4318 90.00 90.00 90.00
Space group Im-3m (No. 229)
One atom of each set of equivalent atoms:
Ac (0.0000, 0.0000, 0.0000) (multiplicity 2)
La (0.0000, 0.0000, 0.5000) (multiplicity 6)
La (0.2500, 0.2500, 0.2500) (multiplicity 8)
Dy (0.0000, 0.2525, 0.2525) (multiplicity 24)

---

The following is a simulated powder XRD pattern of KNp2SeO4. It was derived from a structure optimized by DFT (PBE), using copper Kα.
No peak broadening, texture or thermal motion is included.

Main lines, by angle (2θ from 15° to 90°):
| d [Å] | I (rel.) |
| --- | --- |
| 4.832 | 32 |
| 3.839 | 41 |
| 3.006 | 100 |
| 2.715 | 39 |
| 2.468 | 36 |
| 2.076 | 18 |
| 1.919 | 23 |
| 1.618 | 32 |
| 1.574 | 18 |
| 1.515 | 17 |

Atomic structure:
Lattice parameters (Å, degrees): 3.8390 3.8390 9.6630 90.00 90.00 90.00
Space group P4/mmm (No. 123)
One atom of each set of equivalent atoms:
K (0.0000, 0.0000, 0.0000) (multiplicity 1)
Np (0.5000, 0.5000, 0.2967) (multiplicity 2)
Se (0.0000, 0.0000, 0.5000) (multiplicity 1)
O (0.0000, 0.5000, 0.2062) (multiplicity 4)

---

The following is a simulated powder XRD pattern of Er2TlCl7. It was derived from a structure optimized by DFT (PBE), using copper Kα.
No peak broadening, texture or thermal motion is included.

Main lines, by angle (2θ from 15° to 90°):
| d [Å] | I (rel.) |
| --- | --- |
| 4.224 | 100 |
| 4.140 | 45 |
| 3.981 | 56 |
| 2.956 | 31 |
| 2.616 | 29 |
| 2.438 | 27 |
| 2.388 | 27 |
| 2.313 | 35 |
| 2.186 | 23 |
| 1.764 | 22 |

Atomic structure:
Lattice parameters (Å, degrees): 8.4437 13.5435 5.2324 90.00 90.00 90.00
Space group Cmmm (No. 65)
One atom of each set of equivalent atoms:
Er (0.0000, 0.1968, 0.0000) (multiplicity 4)
Tl (0.0000, 0.5000, 0.5000) (multiplicity 2)
Cl (0.0000, 0.0000, 0.0000) (multiplicity 2)
Cl (0.0000, 0.2049, 0.5000) (multiplicity 4)
Cl (0.1878, 0.3603, 0.0000) (multiplicity 8)

---

The following is a simulated powder XRD pattern of Pm2Sm6Ho3Tl. It was derived from a structure optimized by DFT (PBE), using copper Kα.
No peak broadening, texture or thermal motion is included.

Main lines, by angle (2θ from 15° to 90°):
| d [Å] | I (rel.) |
| --- | --- |
| 2.912 | 100 |
| 2.522 | 51 |
| 1.783 | 36 |
| 1.521 | 29 |
| 1.519 | 14 |
| 1.456 | 12 |
| 1.158 | 4 |
| 1.157 | 13 |
| 1.128 | 11 |
| 1.127 | 5 |

Atomic structure:
Lattice parameters (Å, degrees): 6.1699 10.7055 11.8328 90.00 100.07 90.00
Space group C2/m (No. 12)
One atom of each set of equivalent atoms:
Pm (0.0000, 0.1661, 0.0000) (multiplicity 4)
Sm (0.2432, 0.5000, 0.7478) (multiplicity 4)
Sm (0.2473, 0.3364, 0.2511) (multiplicity 8)
Ho (0.0000, 0.0000, 0.5000) (multiplicity 2)
Ho (0.0000, 0.3329, 0.5000) (multiplicity 4)
Tl (0.0000, 0.5000, 0.0000) (multiplicity 2)

---

The following is a simulated powder XRD pattern of TlAgAu2Br8. It was derived from a structure optimized by DFT (PBE), using copper Kα.
No peak broadening, texture or thermal motion is included.

Main lines, by angle (2θ from 15° to 90°):
| d [Å] | I (rel.) |
| --- | --- |
| 4.437 | 100 |
| 3.857 | 61 |
| 3.677 | 33 |
| 3.286 | 20 |
| 2.434 | 99 |
| 2.218 | 31 |
| 2.141 | 26 |
| 1.923 | 47 |
| 1.541 | 14 |
| 1.133 | 15 |

Atomic structure:
Lattice parameters (Å, degrees): 8.8736 8.8736 9.7792 90.00 90.00 90.00
Space group I-4m2 (No. 119)
One atom of each set of equivalent atoms:
Tl (0.0000, 0.0000, 0.0000) (multiplicity 2)
Ag (0.0000, 0.5000, 0.2500) (multiplicity 2)
Au (0.0000, 0.0000, 0.5000) (multiplicity 2)
Au (0.0000, 0.5000, 0.7500) (multiplicity 2)
Br (0.0000, 0.1960, 0.3011) (multiplicity 8)
Br (0.0000, 0.3106, 0.9502) (multiplicity 8)

---

The following is a simulated powder XRD pattern of Rb5IO2. It was derived from a structure optimized by DFT (PBE), using copper Kα.
No peak broadening, texture or thermal motion is included.

Main lines, by angle (2θ from 15° to 90°):
| d [Å] | I (rel.) |
| --- | --- |
| 4.980 | 18 |
| 3.624 | 57 |
| 3.327 | 45 |
| 3.238 | 100 |
| 3.024 | 62 |
| 2.972 | 60 |
| 2.216 | 42 |
| 1.776 | 14 |
| 1.763 | 17 |
| 1.733 | 27 |

Atomic structure:
Lattice parameters (Å, degrees): 5.9432 13.6703 14.5404 90.00 90.00 90.00
Space group Cmcm (No. 63)
One atom of each set of equivalent atoms:
Rb (0.0000, 0.0445, 0.1068) (multiplicity 8)
Rb (0.0000, 0.1865, 0.7500) (multiplicity 4)
Rb (0.0000, 0.3253, 0.0274) (multiplicity 8)
I (0.0000, 0.4648, 0.7500) (multiplicity 4)
O (0.0000, 0.1445, 0.5565) (multiplicity 8)

---

The following is a simulated powder XRD pattern of ErPu2PaAs4. It was derived from a structure optimized by DFT (PBE), using copper Kα.
No peak broadening, texture or thermal motion is included.

Main lines, by angle (2θ from 15° to 90°):
| d [Å] | I (rel.) |
| --- | --- |
| 3.561 | 61 |
| 3.512 | 12 |
| 3.176 | 14 |
| 2.501 | 100 |
| 2.059 | 13 |
| 2.054 | 25 |
| 1.589 | 17 |
| 1.575 | 12 |
| 1.336 | 13 |
| 1.256 | 12 |

Atomic structure:
Lattice parameters (Å, degrees): 7.0243 4.1185 7.1106 90.00 90.04 90.00
Space group P2/m (No. 10)
One atom of each set of equivalent atoms:
Er (0.0000, 0.0000, 0.0000) (multiplicity 1)
Pu (0.0000, 0.5000, 0.5000) (multiplicity 1)
Pu (0.5000, 0.0000, 0.0000) (multiplicity 1)
Pa (0.5000, 0.5000, 0.5000) (multiplicity 1)
As (0.2488, 0.5000, 0.1660) (multiplicity 2)
As (0.2541, 0.0000, 0.6656) (multiplicity 2)

---

The following is a simulated powder XRD pattern of La2Tb3Pr6In. It was derived from a structure optimized by DFT (PBE), using copper Kα.
No peak broadening, texture or thermal motion is included.

Main lines, by angle (2θ from 15° to 90°):
| d [Å] | I (rel.) |
| --- | --- |
| 2.964 | 100 |
| 2.959 | 33 |
| 2.566 | 67 |
| 1.816 | 24 |
| 1.812 | 24 |
| 1.549 | 14 |
| 1.547 | 38 |
| 1.480 | 12 |
| 1.176 | 8 |
| 1.149 | 7 |

Atomic structure:
Lattice parameters (Å, degrees): 6.2720 10.8802 12.0640 90.00 100.06 90.00
Space group C2/m (No. 12)
One atom of each set of equivalent atoms:
La (0.0000, 0.1662, 0.0000) (multiplicity 4)
Tb (0.0000, 0.0000, 0.5000) (multiplicity 2)
Tb (0.0000, 0.3325, 0.5000) (multiplicity 4)
Pr (0.2407, 0.5000, 0.7477) (multiplicity 4)
Pr (0.2454, 0.3379, 0.2514) (multiplicity 8)
In (0.0000, 0.5000, 0.0000) (multiplicity 2)

---

The following is a simulated powder XRD pattern of NaN2F11. It was derived from a structure optimized by DFT (PBE), using copper Kα.
No peak broadening, texture or thermal motion is included.

Main lines, by angle (2θ from 15° to 90°):
| d [Å] | I (rel.) |
| --- | --- |
| 3.747 | 51 |
| 3.721 | 47 |
| 3.663 | 100 |
| 3.318 | 71 |
| 3.070 | 47 |
| 2.999 | 98 |
| 2.728 | 54 |
| 2.619 | 47 |
| 2.509 | 47 |
| 2.240 | 50 |

Atomic structure:
Lattice parameters (Å, degrees): 7.9596 8.0143 8.6116 107.55 107.18 110.77
Space group P1 (No. 1)
One atom of each set of equivalent atoms:
Na (0.0000, 0.0000, 0.0000) (multiplicity 1)
Na (0.4628, 0.9629, 0.9253) (multiplicity 1)
N (0.0573, 0.7992, 0.5227) (multiplicity 1)
N (0.4789, 0.8902, 0.3743) (multiplicity 1)
N (0.5676, 0.4793, 0.5523) (multiplicity 1)
N (0.9969, 0.2392, 0.4027) (multiplicity 1)
F (0.0851, 0.6472, 0.0141) (multiplicity 1)
F (0.0856, 0.2904, 0.5846) (multiplicity 1)
F (0.1304, 0.3813, 0.3789) (multiplicity 1)
F (0.1693, 0.6904, 0.6776) (multiplicity 1)
F (0.2140, 0.9653, 0.5460) (multiplicity 1)
F (0.2588, 0.1119, 0.9252) (multiplicity 1)
F (0.2948, 0.9902, 0.0956) (multiplicity 1)
F (0.3960, 0.7174, 0.3974) (multiplicity 1)
F (0.4405, 0.4204, 0.9380) (multiplicity 1)
F (0.4604, 0.2838, 0.5295) (multiplicity 1)
F (0.5331, 0.5976, 0.9101) (multiplicity 1)
F (0.5625, 0.8323, 0.2588) (multiplicity 1)
F (0.5730, 0.4391, 0.3826) (multiplicity 1)
F (0.6529, 0.0207, 0.5442) (multiplicity 1)
F (0.6625, 0.8580, 0.8299) (multiplicity 1)
F (0.7658, 0.5359, 0.6684) (multiplicity 1)
F (0.7965, 0.1496, 0.0015) (multiplicity 1)
F (0.8353, 0.2738, 0.3759) (multiplicity 1)
F (0.9222, 0.8603, 0.5496) (multiplicity 1)
F (0.9549, 0.9754, 0.2484) (multiplicity 1)
F (0.9649, 0.4429, 0.9877) (multiplicity 1)
F (0.9646, 0.6683, 0.3408) (multiplicity 1)

---

The following is a simulated powder XRD pattern of Sr2MgAu. It was derived from a structure optimized by DFT (PBE), using copper Kα.
No peak broadening, texture or thermal motion is included.

Main lines, by angle (2θ from 15° to 90°):
| d [Å] | I (rel.) |
| --- | --- |
| 3.566 | 22 |
| 3.549 | 22 |
| 2.861 | 100 |
| 2.853 | 99 |
| 2.784 | 98 |
| 2.640 | 44 |
| 2.267 | 24 |
| 2.262 | 24 |
| 1.662 | 23 |
| 1.619 | 37 |

Atomic structure:
Lattice parameters (Å, degrees): 3.9491 3.9262 8.3033 90.00 90.15 90.00
Space group P2/m (No. 10)
One atom of each set of equivalent atoms:
Sr (0.0009, 0.0000, 0.2216) (multiplicity 2)
Mg (0.5000, 0.5000, 0.5000) (multiplicity 1)
Au (0.5000, 0.5000, 0.0000) (multiplicity 1)

---

The following is a simulated powder XRD pattern of CrAsPd6. It was derived from a structure optimized by DFT (PBE), using copper Kα.
No peak broadening, texture or thermal motion is included.

Main lines, by angle (2θ from 15° to 90°):
| d [Å] | I (rel.) |
| --- | --- |
| 2.650 | 38 |
| 2.341 | 100 |
| 2.335 | 50 |
| 2.167 | 16 |
| 2.162 | 22 |
| 2.156 | 19 |
| 2.090 | 42 |
| 2.085 | 40 |
| 2.078 | 40 |
| 1.413 | 34 |

Atomic structure:
Lattice parameters (Å, degrees): 5.0556 5.0617 5.0805 94.99 95.07 95.36
Space group P-1 (No. 2)
One atom of each set of equivalent atoms:
Cr (0.0000, 0.0000, 0.0000) (multiplicity 1)
As (0.5000, 0.5000, 0.5000) (multiplicity 1)
Pd (0.0783, 0.5475, 0.2590) (multiplicity 2)
Pd (0.2593, 0.0782, 0.5502) (multiplicity 2)
Pd (0.4524, 0.7405, 0.9202) (multiplicity 2)

---

The following is a simulated powder XRD pattern of Cd4Si3. It was derived from a structure optimized by DFT (PBE), using copper Kα.
No peak broadening, texture or thermal motion is included.

Main lines, by angle (2θ from 15° to 90°):
| d [Å] | I (rel.) |
| --- | --- |
| 3.042 | 57 |
| 2.879 | 16 |
| 2.530 | 100 |
| 2.268 | 69 |
| 2.057 | 15 |
| 2.028 | 14 |
| 1.782 | 15 |
| 1.604 | 17 |
| 1.524 | 22 |
| 1.355 | 26 |

Atomic structure:
Lattice parameters (Å, degrees): 3.2079 3.2079 28.7921 90.00 90.00 90.00
Space group I4/mmm (No. 139)
One atom of each set of equivalent atoms:
Cd (0.0000, 0.0000, 0.0681) (multiplicity 4)
Cd (0.0000, 0.0000, 0.3575) (multiplicity 4)
Si (0.0000, 0.0000, 0.2670) (multiplicity 4)
Si (0.0000, 0.0000, 0.5000) (multiplicity 2)

---

Please write out number 5 again, unchanged.
The following is a simulated powder XRD pattern of TlAgAu2Br8. It was derived from a structure optimized by DFT (PBE), using copper Kα.
No peak broadening, texture or thermal motion is included.

Main lines, by angle (2θ from 15° to 90°):
| d [Å] | I (rel.) |
| --- | --- |
| 4.437 | 100 |
| 3.857 | 61 |
| 3.677 | 33 |
| 3.286 | 20 |
| 2.434 | 99 |
| 2.218 | 31 |
| 2.141 | 26 |
| 1.923 | 47 |
| 1.541 | 14 |
| 1.133 | 15 |

Atomic structure:
Lattice parameters (Å, degrees): 8.8736 8.8736 9.7792 90.00 90.00 90.00
Space group I-4m2 (No. 119)
One atom of each set of equivalent atoms:
Tl (0.0000, 0.0000, 0.0000) (multiplicity 2)
Ag (0.0000, 0.5000, 0.2500) (multiplicity 2)
Au (0.0000, 0.0000, 0.5000) (multiplicity 2)
Au (0.0000, 0.5000, 0.7500) (multiplicity 2)
Br (0.0000, 0.1960, 0.3011) (multiplicity 8)
Br (0.0000, 0.3106, 0.9502) (multiplicity 8)